Pu3ZnB2Rh9: simulated powder XRD pattern (Cu Kα (weighted mean of Kα1 and Kα2)), based on DFT lattice parameters and positions (PBE).
No peak broadening, texture or thermal motion is included.

Top 8 peaks for 5 to 70 degrees two-theta, in order of falling intensity:
d [Å]  2θ (°)  I/Imax
2.418  37.18  100
2.163  41.76  81
2.791  32.06  34
1.458  63.83  26
3.224  27.67  24
1.612  57.15  18
4.326  20.53  16
2.917  30.65  16

Structure:
```
data_Pu3ZnB2Rh9
_chemical_formula_sum 'Pu3 Zn1 B2 Rh9'
_cell_length_a 5.8333
_cell_length_b 5.8333
_cell_length_c 8.3742
_cell_angle_alpha 90.00
_cell_angle_beta 90.00
_cell_angle_gamma 120.00
_space_group_name_H-M_alt 'P -3 m 1'
_space_group_IT_number 164
_space_group_name_Hall '-P 3 2"'
loop_
_atom_site_label
_atom_site_type_symbol
_atom_site_fract_x
_atom_site_fract_y
_atom_site_fract_z
Pu1 Pu 0.0000 0.0000 0.0000
Pu2 Pu 0.3333 0.6667 0.6390
Zn1 Zn 0.0000 0.0000 0.5000
B1 B 0.3333 0.6667 0.1481
Rh1 Rh 0.0000 0.5000 0.0000
Rh2 Rh 0.1665 0.3330 0.2856
```